[1]
Starting from a crystal structure in the Materials Project, relaxed with GGA-PBE, the powder X-ray diffraction pattern of TlC4S4N was computed for Cu Ka.

Crystal structure
Cell: 7.0012 9.6233 9.9509 Å, 113.14 93.87 96.58°
Space group P-1 (No. 2)
One atom of each set of equivalent atoms:
Tl1 0.2497 0.1339 0.4539
C1 0.2395 0.7151 0.0944
C2 0.2769 0.2809 0.2544
C3 0.3808 0.7085 0.0145
C4 0.4935 0.2911 0.0700
S1 0.0358 0.6257 0.4024
S2 0.0673 0.7297 0.1879
S3 0.1690 0.9694 0.6712
S4 0.2310 0.7550 0.5745
N1 0.3808 0.2861 0.1638

Main lines, sorted by position (2θ = 10–80°):
2θ/deg  Rel. int.
10.1  1000
10.8  543
16.5  584
16.7  702
22.3  487
22.7  520
25.8  985
27.0  557
28.3  475
31.0  483

[2]
Starting from a crystal structure in the Materials Project, relaxed with GGA-PBE, the powder X-ray diffraction pattern of GdI3O9 was computed for Cu Ka.

Crystal structure
Cell: 8.8585 6.0787 16.8149 Å, 90.00 114.71 90.00°
Space group P2_1/c (No. 14)
One atom of each set of equivalent atoms:
Gd1 0.1443 0.2205 0.1024
I1 0.0706 0.1869 0.3548
I2 0.3574 0.6416 0.5212
I3 0.4180 0.5920 0.8019
O1 0.0609 0.0551 0.6942
O2 0.0973 0.6070 0.6707
O3 0.1045 0.1109 0.4663
O4 0.1294 0.6109 0.4870
O5 0.3366 0.5849 0.8861
O6 0.3447 0.1813 0.2552
O7 0.3573 0.0798 0.9438
O8 0.3648 0.0054 0.6324
O9 0.3958 0.0292 0.1183

Main lines, sorted by position (2θ = 10–80°):
2θ/deg  Rel. int.
20.6  215
22.8  428
25.0  175
25.8  1000
26.6  815
29.8  351
31.1  234
31.7  251
33.8  233
43.1  181

[3]
Starting from a crystal structure in the Materials Project, relaxed with GGA-PBE, the powder X-ray diffraction pattern of MgSi2 was computed for Cu Ka.

Crystal structure
Cell: 5.3674 5.5637 8.5022 Å, 74.11 78.61 65.84°
Space group P1 (No. 1)
One atom of each set of equivalent atoms:
Mg1 0.0000 0.0000 0.0000
Mg2 0.1099 0.3878 0.6483
Mg3 0.3993 0.3978 0.9583
Mg4 0.6143 0.3658 0.2977
Si1 0.0477 0.9586 0.4676
Si2 0.1477 0.3319 0.2951
Si3 0.4813 0.8773 0.7964
Si4 0.4872 0.6633 0.5852
Si5 0.5353 0.8856 0.1312
Si6 0.7175 0.1740 0.6720
Si7 0.8181 0.7454 0.3626
Si8 0.8430 0.5538 0.9731

Main lines, sorted by position (2θ = 10–80°):
2θ/deg  Rel. int.
33.0  410
33.9  643
34.1  1000
35.5  378
36.3  719
36.6  700
38.8  581
41.0  397
45.2  474
46.8  462

[4]
Starting from a crystal structure in the Materials Project, relaxed with GGA-PBE, the powder X-ray diffraction pattern of GdMgNi4 was computed for Cu Ka.

Crystal structure
Cell: 7.0104 7.0104 7.0104 Å, 90.00 90.00 90.00°
Space group F-43m (No. 216)
One atom of each set of equivalent atoms:
Gd1 0.0000 0.0000 0.0000
Mg1 0.2500 0.2500 0.7500
Ni1 0.1238 0.1238 0.3762

Main lines, sorted by position (2θ = 10–80°):
2θ/deg  Rel. int.
22.0  198
25.4  237
36.2  349
42.8  1000
44.8  328
57.3  53
58.9  84
65.2  125
69.7  300
76.9  212

[5]
Starting from a crystal structure in the Materials Project, relaxed with GGA-PBE, the powder X-ray diffraction pattern of MnCoN2 was computed for Cu Ka.

Crystal structure
Cell: 3.0214 3.0214 14.7037 Å, 90.00 90.00 120.00°
Space group R3m (No. 160, hexagonal axes)
One atom of each set of equivalent atoms:
Mn1 0.0000 0.0000 0.0000
Co1 0.0000 0.0000 0.4948
N1 0.0000 0.0000 0.1199
N2 0.0000 0.0000 0.6243

Main lines, sorted by position (2θ = 10–80°):
2θ/deg  Rel. int.
36.4  1000
36.7  324
42.4  373
61.4  258
61.7  250
73.5  106
73.7  208
73.9  101
77.4  60
78.0  19

[6]
Starting from a crystal structure in the Materials Project, relaxed with GGA-PBE, the powder X-ray diffraction pattern of HoAlB14 was computed for Cu Ka.

Crystal structure
Cell: 5.9080 10.4793 8.2364 Å, 90.00 90.00 90.00°
Space group Imma (No. 74)
One atom of each set of equivalent atoms:
Ho1 0.0000 0.2500 0.1505
Al1 0.2500 0.2500 0.7500
B1 0.0000 0.0901 0.6667
B2 0.0000 0.1426 0.8737
B3 0.0000 0.1671 0.4656
B4 0.1627 0.0610 0.3378
B5 0.2477 0.0797 0.5482

Main lines, sorted by position (2θ = 10–80°):
2θ/deg  Rel. int.
13.7  896
16.9  701
18.5  247
25.2  530
27.7  1000
33.3  538
34.9  321
37.0  498
40.1  507
41.5  443

[7]
Starting from a crystal structure in the Materials Project, relaxed with GGA-PBE, the powder X-ray diffraction pattern of MnH8C2NCl3 was computed for Cu Ka.

Crystal structure
Cell: 9.0238 13.3944 6.4983 Å, 90.00 100.17 90.00°
Space group P2_1/c (No. 14)
One atom of each set of equivalent atoms:
Mn1 0.2032 0.2456 0.0187
H1 0.1120 0.5418 0.4287
H2 0.1294 0.5807 0.0692
H3 0.1919 0.6625 0.4030
H4 0.2343 0.0187 0.6573
H5 0.3122 0.5582 0.4948
H6 0.3509 0.6876 0.1307
H7 0.3593 0.5899 0.9438
H8 0.4610 0.5786 0.2064
C1 0.2092 0.5820 0.3912
C2 0.3585 0.6069 0.1082
N1 0.2252 0.5581 0.1722
Cl1 0.0057 0.1712 0.7087
Cl2 0.2005 0.1070 0.2757
Cl3 0.3876 0.1671 0.8105

Main lines, sorted by position (2θ = 10–80°):
2θ/deg  Rel. int.
12.0  1000
13.2  258
20.0  116
22.3  149
29.6  209
30.1  186
33.8  118
34.5  95
37.4  131
38.9  129

[8]
Starting from a crystal structure in the Materials Project, relaxed with GGA-PBE, the powder X-ray diffraction pattern of ErCdAg2 was computed for Cu Ka.

Crystal structure
Cell: 6.9763 6.9763 6.9763 Å, 90.00 90.00 90.00°
Space group Fm-3m (No. 225)
One atom of each set of equivalent atoms:
Er1 0.0000 0.0000 0.0000
Cd1 0.0000 0.0000 0.5000
Ag1 0.2500 0.2500 0.2500

Main lines, sorted by position (2θ = 10–80°):
2θ/deg  Rel. int.
22.1  23
25.5  14
36.4  1000
43.0  13
52.5  171
57.6  6
59.2  7
65.6  341
77.4  106